[1]
Computed X-ray powder pattern
Compound: Mn2P
Radiation: copper Kα
Structure: a PBE-relaxed structure
Neutral-atom scattering factors, no anomalous dispersion.

The 8 most intense peaks (10 to 90 degrees two-theta), in order of rising 2θ:
index, 2theta, I (rel.)
1 1 1, 40.54, 100
2 0 1, 44.18, 58
2 1 0, 45.54, 45
3 0 0, 52.06, 25
2 1 1, 53.93, 16
0 0 2, 56.41, 19
2 1 2, 75.31, 17
3 2 1, 85.69, 20

Atomic structure:
```
data_Mn2P
_cell_length_a 6.0855
_cell_length_b 6.0855
_cell_length_c 3.2620
_cell_angle_alpha 90.00
_cell_angle_beta 90.00
_cell_angle_gamma 120.00
_symmetry_space_group_name_H-M 'P 1'
_symmetry_Int_Tables_number 1
_symmetry_space_group_name_Hall 'P 1'
loop_
_atom_site_label
_atom_site_fract_x
_atom_site_fract_y
_atom_site_fract_z
Mn1 0.0000 0.2562 0.0000
Mn2 0.0000 0.5995 0.5000
Mn3 0.2562 0.0000 0.0000
Mn4 0.4005 0.4005 0.5000
Mn5 0.5995 0.0000 0.5000
Mn6 0.7438 0.7438 0.0000
P1 0.0000 0.0000 0.5000
P2 0.3333 0.6667 0.0000
P3 0.6667 0.3333 0.0000
```

[2]
Computed X-ray powder pattern
Compound: MnPPd
Radiation: copper Kα
Structure: a PBE-relaxed structure
Neutral-atom scattering factors, no anomalous dispersion.

The 8 most intense peaks (10 to 90 degrees two-theta), in order of rising 2θ:
index, 2theta, I (rel.)
1 1 0, 27.86, 22
1 1 1, 37.42, 100
2 0 1, 40.93, 43
2 1 0, 43.15, 44
0 0 2, 50.21, 41
2 1 2, 68.29, 21
3 0 2, 73.00, 20
3 2 1, 79.86, 21

Atomic structure:
```
data_MnPPd
_cell_length_a 6.4048
_cell_length_b 6.4048
_cell_length_c 3.6362
_cell_angle_alpha 90.00
_cell_angle_beta 90.00
_cell_angle_gamma 120.00
_symmetry_space_group_name_H-M 'P 1'
_symmetry_Int_Tables_number 1
_symmetry_space_group_name_Hall 'P 1'
loop_
_atom_site_label
_atom_site_fract_x
_atom_site_fract_y
_atom_site_fract_z
Mn1 0.0000 0.5952 0.0000
Mn2 0.4048 0.4048 0.0000
Mn3 0.5952 0.0000 0.0000
P1 0.0000 0.0000 0.0000
P2 0.3333 0.6667 0.5000
P3 0.6667 0.3333 0.5000
Pd1 0.0000 0.2643 0.5000
Pd2 0.2643 0.0000 0.5000
Pd3 0.7357 0.7357 0.5000
```

[3]
Computed X-ray powder pattern
Compound: Rb2MnP2S6
Radiation: copper Kα
Structure: a PBE-relaxed structure
Neutral-atom scattering factors, no anomalous dispersion.

The 8 most intense peaks (10 to 90 degrees two-theta), in order of rising 2θ:
index, 2theta, I (rel.)
0 1 1, 13.50, 30
0 3 1, 24.18, 81
2 0 -2, 29.16, 31
1 2 1, 29.35, 100
1 4 -1, 31.98, 91
1 2 -3, 32.46, 72
2 1 -3, 33.72, 31
0 6 2, 49.51, 33

Atomic structure:
```
data_Rb2MnP2S6
_cell_length_a 6.1831
_cell_length_b 12.5858
_cell_length_c 9.2347
_cell_angle_alpha 90.00
_cell_angle_beta 123.68
_cell_angle_gamma 90.00
_symmetry_space_group_name_H-M 'P 1'
_symmetry_Int_Tables_number 1
_symmetry_space_group_name_Hall 'P 1'
loop_
_atom_site_label
_atom_site_fract_x
_atom_site_fract_y
_atom_site_fract_z
Rb1 0.2036 0.1738 0.4746
Rb2 0.2036 0.3262 0.9746
Rb3 0.7964 0.6738 0.0254
Rb4 0.7964 0.8262 0.5254
Mn1 0.5000 0.0000 0.0000
Mn2 0.5000 0.5000 0.5000
P1 0.1547 0.5398 0.6238
P2 0.1547 0.9602 0.1238
P3 0.8453 0.0398 0.8762
P4 0.8453 0.4602 0.3762
S1 0.0339 0.0751 0.7597
S2 0.0339 0.4249 0.2597
S3 0.2782 0.6646 0.5475
S4 0.2782 0.8354 0.0475
S5 0.4488 0.0681 0.2468
S6 0.4488 0.4319 0.7468
S7 0.5512 0.5681 0.2532
S8 0.5512 0.9319 0.7532
S9 0.7218 0.1646 0.9525
S10 0.7218 0.3354 0.4525
S11 0.9661 0.5751 0.7403
S12 0.9661 0.9249 0.2403
```

What did the second record say?
Computed X-ray powder pattern
Compound: MnPPd
Radiation: copper Kα
Structure: a PBE-relaxed structure
Neutral-atom scattering factors, no anomalous dispersion.

The 8 most intense peaks (10 to 90 degrees two-theta), in order of rising 2θ:
index, 2theta, I (rel.)
1 1 0, 27.86, 22
1 1 1, 37.42, 100
2 0 1, 40.93, 43
2 1 0, 43.15, 44
0 0 2, 50.21, 41
2 1 2, 68.29, 21
3 0 2, 73.00, 20
3 2 1, 79.86, 21

Atomic structure:
```
data_MnPPd
_cell_length_a 6.4048
_cell_length_b 6.4048
_cell_length_c 3.6362
_cell_angle_alpha 90.00
_cell_angle_beta 90.00
_cell_angle_gamma 120.00
_symmetry_space_group_name_H-M 'P 1'
_symmetry_Int_Tables_number 1
_symmetry_space_group_name_Hall 'P 1'
loop_
_atom_site_label
_atom_site_fract_x
_atom_site_fract_y
_atom_site_fract_z
Mn1 0.0000 0.5952 0.0000
Mn2 0.4048 0.4048 0.0000
Mn3 0.5952 0.0000 0.0000
P1 0.0000 0.0000 0.0000
P2 0.3333 0.6667 0.5000
P3 0.6667 0.3333 0.5000
Pd1 0.0000 0.2643 0.5000
Pd2 0.2643 0.0000 0.5000
Pd3 0.7357 0.7357 0.5000
```